Rb2VCl6: theoretical X-ray diffraction stick pattern (Cu Kα (λ = 1.5418 Å)), based on a PBE-relaxed structure.
Neutral-atom scattering factors, no anomalous dispersion.

Cell and atoms:
```
data_Rb2VCl6
_chemical_formula_sum 'Rb8 V4 Cl24'
_space_group_name_H-M_alt 'F m -3 m'
_space_group_IT_number 225
_space_group_name_Hall '-F 4 2 3'
_cell_length_a 10.1757
_cell_length_b 10.1757
_cell_length_c 10.1757
_cell_angle_alpha 90.00
_cell_angle_beta 90.00
_cell_angle_gamma 90.00
loop_
_atom_site_label
_atom_site_fract_x
_atom_site_fract_y
_atom_site_fract_z
Rb1 0.2500 0.2500 0.2500
V1 0.0000 0.0000 0.0000
Cl1 0.0000 0.0000 0.2286
```

Main lines, low angle first (2θ from 10° to 90°):
| 2theta | I_rel | index |
| --- | --- | --- |
| 15.08 | 35 | 1 1 1 |
| 24.75 | 55 | 2 2 0 |
| 30.43 | 100 | 2 2 2 |
| 35.28 | 82 | 4 0 0 |
| 43.57 | 22 | 4 2 2 |
| 50.75 | 50 | 4 4 0 |
| 60.34 | 32 | 6 2 2 |
| 63.32 | 16 | 4 4 4 |
| 69.07 | 14 | 6 4 2 |
| 85.32 | 19 | 8 4 0 |